# 1
Theoretical powder XRD pattern
Compound: Cu2NiPt6
Radiation: Cu Kα (weighted mean of Kα1 and Kα2)
Structure: DFT lattice parameters and positions (PBE)
Intensities are scaled so that the largest is 100.

Principal peaks in the range 15 to 90 degrees two-theta, most intense first:
40.48 deg, I = 100; 46.39 deg, I = 17; 46.60 deg, I = 17; 33.39 deg, I = 16; 48.27 deg, I = 14; 81.95 deg, I = 13; 82.25 deg, I = 13; 67.86 deg, I = 11

Cell and atoms:
Unit cell a=8.136 b=6.166 c=5.986 alpha=84.04 beta=48.92 gamma=47.03
Fractional coordinates of all 9 atoms:
1 Cu 0.167 0.167 0.833
2 Cu 0.833 0.833 0.167
3 Ni 0.500 0.500 0.500
4 Pt 0.158 0.842 0.158
5 Pt 0.174 0.493 0.507
6 Pt 0.493 0.174 0.826
7 Pt 0.507 0.826 0.174
8 Pt 0.826 0.507 0.493
9 Pt 0.842 0.158 0.842

# 2
Theoretical powder XRD pattern
Compound: CuNi3Pt3
Radiation: Cu Kα (weighted mean of Kα1 and Kα2)
Structure: DFT lattice parameters and positions (PBE)
Intensities are scaled so that the largest is 100.

Principal peaks in the range 15 to 90 degrees two-theta, most intense first:
44.71 deg, I = 100; 29.95 deg, I = 88; 38.97 deg, I = 82; 40.96 deg, I = 78; 46.49 deg, I = 78; 81.12 deg, I = 47; 51.56 deg, I = 45; 21.06 deg, I = 39

Cell and atoms:
Unit cell a=7.308 b=7.308 c=7.308 alpha=90.00 beta=90.00 gamma=90.00
Fractional coordinates of all 28 atoms:
1 Cu 0.150 0.350 0.650
2 Cu 0.350 0.650 0.150
3 Cu 0.650 0.150 0.350
4 Cu 0.850 0.850 0.850
5 Ni 0.032 0.532 0.968
6 Ni 0.151 0.151 0.151
7 Ni 0.162 0.838 0.338
8 Ni 0.338 0.162 0.838
9 Ni 0.349 0.849 0.651
10 Ni 0.468 0.468 0.468
11 Ni 0.532 0.968 0.032
12 Ni 0.651 0.349 0.849
13 Ni 0.662 0.662 0.662
14 Ni 0.838 0.338 0.162
15 Ni 0.849 0.651 0.349
16 Ni 0.968 0.032 0.532
17 Pt 0.047 0.681 0.632
18 Pt 0.132 0.453 0.319
19 Pt 0.181 0.868 0.953
20 Pt 0.319 0.132 0.453
21 Pt 0.368 0.547 0.819
22 Pt 0.453 0.319 0.132
23 Pt 0.547 0.819 0.368
24 Pt 0.632 0.047 0.681
25 Pt 0.681 0.632 0.047
26 Pt 0.819 0.368 0.547
27 Pt 0.868 0.953 0.181
28 Pt 0.953 0.181 0.868

# 3
Theoretical powder XRD pattern
Compound: Cu5Ni4Pt4
Radiation: Cu Kα (weighted mean of Kα1 and Kα2)
Structure: DFT lattice parameters and positions (PBE)
Intensities are scaled so that the largest is 100.

Principal peaks in the range 15 to 90 degrees two-theta, most intense first:
42.05 deg, I = 100; 49.21 deg, I = 33; 87.18 deg, I = 24; 71.53 deg, I = 22; 48.43 deg, I = 17; 18.80 deg, I = 16; 31.87 deg, I = 15; 29.93 deg, I = 13

Cell and atoms:
Unit cell a=6.936 b=6.936 c=6.936 alpha=94.21 beta=94.21 gamma=148.55
Fractional coordinates of all 13 atoms:
1 Cu 0.000 0.000 0.000
2 Cu 0.308 0.540 0.848
3 Cu 0.460 0.308 0.768
4 Cu 0.540 0.692 0.232
5 Cu 0.692 0.460 0.152
6 Ni 0.076 0.392 0.469
7 Ni 0.392 0.924 0.316
8 Ni 0.608 0.076 0.684
9 Ni 0.924 0.608 0.531
10 Pt 0.146 0.767 0.913
11 Pt 0.233 0.146 0.380
12 Pt 0.767 0.854 0.620
13 Pt 0.854 0.233 0.087

# 4
Theoretical powder XRD pattern
Compound: Cu6NiPt2
Radiation: Cu Kα (weighted mean of Kα1 and Kα2)
Structure: DFT lattice parameters and positions (PBE)
Intensities are scaled so that the largest is 100.

Principal peaks in the range 15 to 90 degrees two-theta, most intense first:
44.34 deg, I = 100; 41.87 deg, I = 62; 42.03 deg, I = 60; 40.93 deg, I = 51; 51.65 deg, I = 33; 16.70 deg, I = 32; 51.51 deg, I = 24; 78.56 deg, I = 19

Cell and atoms:
Unit cell a=6.500 b=6.500 c=6.732 alpha=115.02 beta=115.02 gamma=85.44
Fractional coordinates of all 18 atoms:
1 Cu 0.091 0.831 0.544
2 Cu 0.129 0.429 0.367
3 Cu 0.169 0.909 0.956
4 Cu 0.295 0.495 0.806
5 Cu 0.429 0.129 0.867
6 Cu 0.495 0.295 0.306
7 Cu 0.505 0.705 0.694
8 Cu 0.571 0.871 0.133
9 Cu 0.705 0.505 0.194
10 Cu 0.831 0.091 0.044
11 Cu 0.871 0.571 0.633
12 Cu 0.909 0.169 0.456
13 Ni 0.353 0.647 0.250
14 Ni 0.647 0.353 0.750
15 Pt 0.068 0.288 0.920
16 Pt 0.288 0.068 0.420
17 Pt 0.712 0.932 0.580
18 Pt 0.932 0.712 0.080

# 5
Theoretical powder XRD pattern
Compound: Cu7Ni2Pt2
Radiation: Cu Kα (weighted mean of Kα1 and Kα2)
Structure: DFT lattice parameters and positions (PBE)
Intensities are scaled so that the largest is 100.

Principal peaks in the range 15 to 90 degrees two-theta, most intense first:
43.53 deg, I = 100; 47.36 deg, I = 30; 15.72 deg, I = 26; 43.14 deg, I = 24; 48.45 deg, I = 17; 36.87 deg, I = 16; 28.30 deg, I = 16; 39.67 deg, I = 16

Cell and atoms:
Unit cell a=5.053 b=5.053 c=5.875 alpha=100.57 beta=100.57 gamma=98.93
Fractional coordinates of all 11 atoms:
1 Cu 0.000 0.000 0.000
2 Cu 0.097 0.541 0.829
3 Cu 0.405 0.405 0.160
4 Cu 0.459 0.903 0.171
5 Cu 0.541 0.097 0.829
6 Cu 0.595 0.595 0.840
7 Cu 0.903 0.459 0.171
8 Ni 0.285 0.715 0.500
9 Ni 0.715 0.285 0.500
10 Pt 0.193 0.193 0.470
11 Pt 0.807 0.807 0.530

# 6
Theoretical powder XRD pattern
Compound: Cu6NiPt
Radiation: Cu Kα (weighted mean of Kα1 and Kα2)
Structure: DFT lattice parameters and positions (PBE)
Intensities are scaled so that the largest is 100.

Principal peaks in the range 15 to 90 degrees two-theta, most intense first:
42.78 deg, I = 100; 49.66 deg, I = 32; 88.36 deg, I = 23; 73.22 deg, I = 18; 50.10 deg, I = 15; 27.20 deg, I = 12; 89.04 deg, I = 11; 72.87 deg, I = 10

Cell and atoms:
Unit cell a=3.672 b=3.672 c=7.282 alpha=90.00 beta=90.00 gamma=90.00
Fractional coordinates of all 8 atoms:
1 Cu 0.000 0.000 0.000
2 Cu 0.000 0.000 0.500
3 Cu 0.000 0.500 0.240
4 Cu 0.000 0.500 0.760
5 Cu 0.500 0.000 0.240
6 Cu 0.500 0.000 0.760
7 Ni 0.500 0.500 0.000
8 Pt 0.500 0.500 0.500

# 7
Theoretical powder XRD pattern
Compound: Cu3Ni3Pt2
Radiation: Cu Kα (weighted mean of Kα1 and Kα2)
Structure: DFT lattice parameters and positions (PBE)
Intensities are scaled so that the largest is 100.

Principal peaks in the range 15 to 90 degrees two-theta, most intense first:
42.40 deg, I = 100; 34.35 deg, I = 27; 24.07 deg, I = 21; 49.22 deg, I = 16; 49.35 deg, I = 16; 49.52 deg, I = 16; 87.44 deg, I = 12; 87.64 deg, I = 12

Cell and atoms:
Unit cell a=3.693 b=3.702 c=7.363 alpha=90.00 beta=90.00 gamma=90.00
Fractional coordinates of all 8 atoms:
1 Cu 0.000 0.000 0.000
2 Cu 0.500 0.000 0.251
3 Cu 0.500 0.000 0.749
4 Ni 0.000 0.000 0.500
5 Ni 0.500 0.500 0.000
6 Ni 0.500 0.500 0.500
7 Pt 0.000 0.500 0.252
8 Pt 0.000 0.500 0.748

# 8
Theoretical powder XRD pattern
Compound: Cu3Ni2Pt4
Radiation: Cu Kα (weighted mean of Kα1 and Kα2)
Structure: DFT lattice parameters and positions (PBE)
Intensities are scaled so that the largest is 100.

Principal peaks in the range 15 to 90 degrees two-theta, most intense first:
41.38 deg, I = 100; 47.39 deg, I = 19; 47.23 deg, I = 17; 71.20 deg, I = 15; 49.83 deg, I = 14; 29.59 deg, I = 13; 84.02 deg, I = 13; 22.20 deg, I = 11

Cell and atoms:
Unit cell a=4.555 b=4.555 c=7.977 alpha=104.35 beta=104.35 gamma=49.81
Fractional coordinates of all 9 atoms:
1 Cu 0.000 0.000 0.000
2 Cu 0.333 0.333 0.449
3 Cu 0.667 0.667 0.551
4 Ni 0.333 0.333 0.775
5 Ni 0.667 0.667 0.225
6 Pt 0.004 0.004 0.333
7 Pt 0.333 0.333 0.113
8 Pt 0.667 0.667 0.887
9 Pt 0.996 0.996 0.667

# 9
Theoretical powder XRD pattern
Compound: CuNi6Pt4
Radiation: Cu Kα (weighted mean of Kα1 and Kα2)
Structure: DFT lattice parameters and positions (PBE)
Intensities are scaled so that the largest is 100.

Principal peaks in the range 15 to 90 degrees two-theta, most intense first:
38.82 deg, I = 100; 42.15 deg, I = 76; 39.73 deg, I = 65; 29.60 deg, I = 50; 36.95 deg, I = 48; 47.25 deg, I = 38; 82.02 deg, I = 33; 53.25 deg, I = 31

Cell and atoms:
Unit cell a=7.164 b=7.164 c=7.164 alpha=140.30 beta=140.30 gamma=57.39
Fractional coordinates of all 11 atoms:
1 Cu 0.000 0.000 0.000
2 Ni 0.000 0.500 0.500
3 Ni 0.184 0.570 0.000
4 Ni 0.430 0.430 0.615
5 Ni 0.500 0.000 0.500
6 Ni 0.570 0.184 0.000
7 Ni 0.816 0.816 0.385
8 Pt 0.027 0.027 0.406
9 Pt 0.379 0.973 0.000
10 Pt 0.621 0.621 0.594
11 Pt 0.973 0.379 0.000

# 10
Theoretical powder XRD pattern
Compound: Cu2Ni7Pt2
Radiation: Cu Kα (weighted mean of Kα1 and Kα2)
Structure: DFT lattice parameters and positions (PBE)
Intensities are scaled so that the largest is 100.

Principal peaks in the range 15 to 90 degrees two-theta, most intense first:
44.81 deg, I = 100; 47.14 deg, I = 99; 44.17 deg, I = 73; 40.31 deg, I = 68; 45.63 deg, I = 44; 48.43 deg, I = 43; 22.36 deg, I = 40; 41.40 deg, I = 36

Cell and atoms:
Unit cell a=5.116 b=5.116 c=6.791 alpha=111.31 beta=111.31 gamma=61.84
Fractional coordinates of all 11 atoms:
1 Cu 0.245 0.755 0.000
2 Cu 0.755 0.245 0.000
3 Ni 0.036 0.533 0.339
4 Ni 0.462 0.970 0.648
5 Ni 0.466 0.466 0.651
6 Ni 0.533 0.036 0.339
7 Ni 0.537 0.537 0.339
8 Ni 0.965 0.965 0.649
9 Ni 0.970 0.462 0.648
10 Pt 0.251 0.251 0.995
11 Pt 0.749 0.749 0.999

# 11
Theoretical powder XRD pattern
Compound: CuNi3Pt6
Radiation: Cu Kα (weighted mean of Kα1 and Kα2)
Structure: DFT lattice parameters and positions (PBE)
Intensities are scaled so that the largest is 100.

Principal peaks in the range 15 to 90 degrees two-theta, most intense first:
43.47 deg, I = 100; 40.44 deg, I = 38; 44.20 deg, I = 37; 27.82 deg, I = 21; 75.64 deg, I = 21; 38.23 deg, I = 17; 39.04 deg, I = 15; 56.87 deg, I = 11

Cell and atoms:
Unit cell a=7.165 b=4.461 c=9.412 alpha=90.00 beta=110.55 gamma=90.00
Fractional coordinates of all 20 atoms:
1 Cu 0.104 0.250 0.068
2 Cu 0.896 0.750 0.932
3 Ni 0.103 0.750 0.729
4 Ni 0.296 0.750 0.532
5 Ni 0.309 0.250 0.869
6 Ni 0.691 0.750 0.131
7 Ni 0.704 0.250 0.468
8 Ni 0.897 0.250 0.271
9 Pt 0.078 0.750 0.224
10 Pt 0.103 0.250 0.571
11 Pt 0.287 0.750 0.022
12 Pt 0.292 0.250 0.365
13 Pt 0.493 0.750 0.332
14 Pt 0.493 0.750 0.831
15 Pt 0.507 0.250 0.169
16 Pt 0.507 0.250 0.668
17 Pt 0.708 0.750 0.635
18 Pt 0.713 0.250 0.978
19 Pt 0.897 0.750 0.429
20 Pt 0.922 0.250 0.776

# 12
Theoretical powder XRD pattern
Compound: CuNi4Pt4
Radiation: Cu Kα (weighted mean of Kα1 and Kα2)
Structure: DFT lattice parameters and positions (PBE)
Intensities are scaled so that the largest is 100.

Principal peaks in the range 15 to 90 degrees two-theta, most intense first:
41.50 deg, I = 100; 48.03 deg, I = 33; 85.04 deg, I = 25; 70.92 deg, I = 20; 26.35 deg, I = 17; 48.84 deg, I = 16; 86.26 deg, I = 12; 22.12 deg, I = 12

Cell and atoms:
Unit cell a=5.981 b=5.981 c=5.981 alpha=95.58 beta=95.58 gamma=143.67
Fractional coordinates of all 9 atoms:
1 Cu 0.000 0.000 0.000
2 Ni 0.000 0.342 0.342
3 Ni 0.000 0.658 0.658
4 Ni 0.342 0.000 0.342
5 Ni 0.658 0.000 0.658
6 Pt 0.333 0.333 0.666
7 Pt 0.333 0.667 0.000
8 Pt 0.667 0.333 0.000
9 Pt 0.667 0.667 0.334

# 13
Theoretical powder XRD pattern
Compound: Pu3CuNi8
Radiation: Cu Kα (weighted mean of Kα1 and Kα2)
Structure: DFT lattice parameters and positions (PBE)
Intensities are scaled so that the largest is 100.

Principal peaks in the range 15 to 90 degrees two-theta, most intense first:
42.83 deg, I = 100; 36.28 deg, I = 71; 65.27 deg, I = 26; 21.98 deg, I = 25; 77.03 deg, I = 21; 69.77 deg, I = 19; 44.83 deg, I = 13; 88.25 deg, I = 12

Cell and atoms:
Unit cell a=8.584 b=8.584 c=8.584 alpha=33.51 beta=33.51 gamma=33.51
Fractional coordinates of all 12 atoms:
1 Pu 0.000 0.000 0.000
2 Pu 0.128 0.128 0.128
3 Pu 0.508 0.508 0.508
4 Cu 0.631 0.631 0.631
5 Ni 0.061 0.565 0.565
6 Ni 0.068 0.068 0.568
7 Ni 0.068 0.568 0.068
8 Ni 0.316 0.316 0.316
9 Ni 0.565 0.061 0.565
10 Ni 0.565 0.565 0.061
11 Ni 0.568 0.068 0.068
12 Ni 0.816 0.816 0.816